Entry 1:
HfNpMn2O8: calculated powder diffractogram (copper Kα), based on a DFT-relaxed cell (GGA+U, Alexandria).

Cell: 4.8998 4.8998 6.3545 Å, 90.00 90.00 93.69°
Sites, in units of the cell vectors:
Hf (0.0000, 0.0000, 0.0000)
Np (0.0000, 0.0000, 0.5000)
Mn (0.5000, 0.5000, 0.2439)
Mn (0.5000, 0.5000, 0.7561)
O (0.1841, 0.8159, 0.2538)
O (0.1841, 0.8159, 0.7462)
O (0.3121, 0.3121, 0.0000)
O (0.3140, 0.3140, 0.5000)
O (0.6860, 0.6860, 0.5000)
O (0.6879, 0.6879, 0.0000)
O (0.8159, 0.1841, 0.2538)
O (0.8159, 0.1841, 0.7462)

Most intense lines, 15 to 90 degrees two-theta, in order of rising 2θ:
2θ (°)  intensity
18.14  87
24.91  73
26.60  62
33.64  100
36.76  33
37.89  27
42.39  18
49.72  47
51.62  41
64.21  37

---

Entry 2:
V5CrP6O24: calculated powder diffractogram (copper Kα), based on a DFT-relaxed cell (GGA+U, Alexandria).

Cell: 8.5684 8.5684 8.5684 Å, 60.33 60.33 60.33°
Sites, in units of the cell vectors:
V (0.0000, 0.0000, 0.0000)
V (0.1418, 0.1418, 0.1418)
V (0.3556, 0.3556, 0.3556)
V (0.4997, 0.4997, 0.4997)
V (0.8554, 0.8554, 0.8554)
Cr (0.6416, 0.6416, 0.6416)
P (0.0407, 0.4581, 0.7461)
P (0.2481, 0.9564, 0.5433)
P (0.4581, 0.7461, 0.0407)
P (0.5433, 0.2481, 0.9564)
P (0.7461, 0.0407, 0.4581)
P (0.9564, 0.5433, 0.2481)
O (0.0030, 0.6171, 0.8107)
O (0.0616, 0.2609, 0.9054)
O (0.0841, 0.9412, 0.7414)
O (0.1178, 0.5055, 0.3090)
O (0.1830, 0.9971, 0.3883)
O (0.2392, 0.4450, 0.5822)
O (0.2609, 0.9054, 0.0616)
O (0.3090, 0.1178, 0.5055)
O (0.3883, 0.1830, 0.9971)
O (0.4090, 0.7597, 0.5619)
O (0.4450, 0.5822, 0.2392)
O (0.4975, 0.6800, 0.8872)
O (0.5055, 0.3090, 0.1178)
O (0.5619, 0.4090, 0.7597)
O (0.5822, 0.2392, 0.4450)
O (0.6171, 0.8107, 0.0030)
O (0.6800, 0.8872, 0.4975)
O (0.7414, 0.0841, 0.9412)
O (0.7597, 0.5619, 0.4090)
O (0.8107, 0.0030, 0.6171)
O (0.8872, 0.4975, 0.6800)
O (0.9054, 0.0616, 0.2609)
O (0.9412, 0.7414, 0.0841)
O (0.9971, 0.3883, 0.1830)

Most intense lines, 15 to 90 degrees two-theta, in order of rising 2θ:
2θ (°)  intensity
20.63  64
24.29  100
25.36  14
32.04  16
33.04  56
36.14  32
47.40  27
49.76  23
56.55  21
63.03  15